For La2MgCu4O8, a crystal structure in the Materials Project, relaxed with PBE gives the simulated X-ray powder pattern in this record (copper Kα).

Peak list (8 most intense, 10 to 90 degrees two-theta, by angle)
d_spacing  2theta  intensity
3.381  26.36  100
3.279  27.19  49
2.537  35.38  92
2.206  40.92  29
2.080  43.52  38
1.755  52.11  37
1.691  54.26  24
1.596  57.77  23

```
La2MgCu4O8
1.0
-2.9033 2.9033 5.9605
2.9033 -2.9033 5.9605
2.9033 2.9033 -5.9605
La Mg Cu O
2 1 4 8
direct
0.0000 0.0000 0.0000
0.7500 0.2500 0.5000
0.2500 0.7500 0.5000
0.3599 0.5595 0.7497
0.3898 0.6401 0.1996
0.4405 0.1902 0.8004
0.8098 0.6102 0.2503
0.0032 0.9403 0.5986
0.0597 0.6583 0.0629
0.1533 0.2804 0.5626
0.3417 0.4046 0.4014
0.4093 0.8467 0.1271
0.5954 0.9968 0.9371
0.7178 0.5907 0.4374
0.7196 0.2822 0.8729
```